This entry pairs a crystal structure of TaNb6Re2 with its simulated PXRD pattern. Radiation: Cu Ka. Structure: a GGA-PBE-relaxed structure.
Intensities are scaled so that the largest is 100.

Structure:
```
TaNb6Re2
1.0
5.214 -1.615 0.000
5.214 1.615 0.000
-3.282 0.000 9.264
Ta Nb Re
1 6 2
Cartesian
0.000 0.000 0.000
-1.062 0.000 3.046
3.045 0.000 1.043
1.995 0.000 4.078
5.151 0.000 5.186
4.102 0.000 8.220
8.208 0.000 6.217
0.951 0.000 7.223
6.195 0.000 2.041
```

The 8 most intense peaks (2θ = 10–90°), low angle first:
| 2θ/deg | I (rel.) |
| --- | --- |
| 38.5 | 26 |
| 39.2 | 100 |
| 39.3 | 25 |
| 56.2 | 17 |
| 57.0 | 9 |
| 70.0 | 9 |
| 71.2 | 17 |
| 84.2 | 11 |